Li2TiMn3O8: computed PXRD pattern (λ = 1.5418 Å (Cu Kα)), based on a crystal structure in Alexandria, relaxed with PBE+U.
Peak positions follow from Bragg's law for the DFT cell and can differ from measured ones.

Most intense lines, 10 to 90 degrees two-theta, in order of rising 2θ:
(hkl), d [Å], I (rel.)
0 1 1, 5.016, 100
0 3 -3, 2.637, 14
2 -1 1, 2.518, 9
2 1 -3, 2.496, 9
0 4 -2, 2.204, 21
2 0 2, 2.109, 18
2 0 -4, 2.085, 18
2 1 3, 1.641, 5
2 -4 4, 1.520, 10
2 4 -6, 1.510, 5

Structural model:
```
Li2TiMn3O8
1.0
5.8037 0.0000 0.0000
-0.0085 8.8167 0.0000
-2.7933 -4.3408 9.1009
Li Ti Mn O
6 3 9 24
direct
0.0000 0.0000 0.0000 Li
0.0000 0.5000 0.5000 Li
0.1734 0.1704 0.8379 Li
0.3688 0.3327 0.6655 Li
0.6312 0.6673 0.3345 Li
0.8266 0.8296 0.1621 Li
0.1636 0.1645 0.3320 Ti
0.5000 0.5000 0.0000 Ti
0.8364 0.8355 0.6680 Ti
0.0000 0.0000 0.5000 Mn
0.0000 0.5000 0.0000 Mn
0.1649 0.6681 0.8377 Mn
0.3293 0.8325 0.6670 Mn
0.3391 0.3372 0.1706 Mn
0.5000 0.0000 0.5000 Mn
0.6609 0.6628 0.8294 Mn
0.6707 0.1675 0.3330 Mn
0.8351 0.3319 0.1623 Mn
0.0055 0.7472 0.5256 O
0.0277 0.2576 0.0248 O
0.1429 0.9217 0.8113 O
0.1520 0.3843 0.3101 O
0.1782 0.9483 0.3555 O
0.1834 0.4219 0.8599 O
0.3174 0.0770 0.6416 O
0.3262 0.5496 0.1509 O
0.3390 0.5901 0.6921 O
0.3523 0.1254 0.1884 O
0.4887 0.7178 0.9790 O
0.4926 0.2100 0.4791 O
0.5074 0.7900 0.5209 O
0.5113 0.2822 0.0210 O
0.6477 0.8746 0.8116 O
0.6610 0.4099 0.3079 O
0.6738 0.4504 0.8491 O
0.6826 0.9230 0.3584 O
0.8166 0.5781 0.1401 O
0.8218 0.0517 0.6445 O
0.8480 0.6157 0.6899 O
0.8571 0.0783 0.1887 O
0.9723 0.7424 0.9752 O
0.9945 0.2528 0.4744 O
```